Diffraction record for H3S. The powder diffractogram is calculated, not measured: it uses a PBE-relaxed structure and Cu Kα (weighted mean of Kα1 and Kα2).

Structural model:
```
data_H3S
_cell_length_a 5.6615
_cell_length_b 5.6615
_cell_length_c 3.4805
_cell_angle_alpha 90.00
_cell_angle_beta 90.00
_cell_angle_gamma 120.00
_space_group_name_H-M_alt 'R 3 m'
_space_group_IT_number 160
_space_group_name_Hall 'R 3 -2"'
loop_
_atom_site_label
_atom_site_type_symbol
_atom_site_fract_x
_atom_site_fract_y
_atom_site_fract_z
H1 H 0.2159 0.4318 0.0000
S1 S 0.0000 0.0000 0.5860
```

Largest 10 diffraction maxima, in order of rising 2θ, 15 to 90 degrees two-theta:
d (Å)  intensity
2.834  100
2.004  19
1.640  8
1.635  23
1.419  5
1.415  5
1.269  7
1.267  7
1.160  1
1.156  3